# 1
Simulated PXRD pattern of CsCu2SiRh for Cu Kα (λ = 1.5418 Å), from a cell relaxed with PBE.

Structural model:
```
data_CsCu2SiRh
_cell_length_a 4.758
_cell_length_b 4.758
_cell_length_c 4.716
_cell_angle_alpha 90.00
_cell_angle_beta 90.00
_cell_angle_gamma 90.00
_space_group_name_H-M_alt 'P 4/m m m'
_space_group_IT_number 123
_space_group_name_Hall '-P 4 2'
loop_
_atom_site_label
_atom_site_fract_x
_atom_site_fract_y
_atom_site_fract_z
Cs1 0.000 0.000 0.000
Cu1 0.000 0.500 0.500
Si1 0.500 0.500 0.500
Rh1 0.500 0.500 0.000
```

Most intense lines, 5° ≤ 2θ ≤ 70°, in order of rising 2θ:
2theta  d (Å)  intensity
32.70  2.739  100
37.82  2.379  45
38.16  2.358  22
54.56  1.682  15
54.82  1.675  30
65.07  1.433  26
65.54  1.424  13
68.52  1.369  15

***

# 2
Simulated PXRD pattern of AlCuCl3 for Cu Kα (λ = 1.5418 Å), from a cell relaxed with PBE.

Structural model:
```
data_AlCuCl3
_cell_length_a 4.769
_cell_length_b 4.769
_cell_length_c 4.769
_cell_angle_alpha 90.00
_cell_angle_beta 90.00
_cell_angle_gamma 90.00
_space_group_name_H-M_alt 'P m -3 m'
_space_group_IT_number 221
_space_group_name_Hall '-P 4 2 3'
loop_
_atom_site_label
_atom_site_fract_x
_atom_site_fract_y
_atom_site_fract_z
Al1 0.000 0.000 0.000
Cu1 0.500 0.500 0.500
Cl1 0.000 0.000 0.500
```

Most intense lines, 5° ≤ 2θ ≤ 70°, in order of rising 2θ:
2theta  d (Å)  intensity
26.43  3.372  41
32.52  2.754  100
37.72  2.385  89
46.65  1.947  18
54.41  1.686  56
61.48  1.508  8
64.84  1.438  32
68.10  1.377  18

***

# 3
Simulated PXRD pattern of Zr4In3Mo for Cu Kα (λ = 1.5418 Å), from a cell relaxed with PBE.

Structural model:
```
data_Zr4In3Mo
_cell_length_a 3.372
_cell_length_b 3.372
_cell_length_c 15.215
_cell_angle_alpha 90.00
_cell_angle_beta 90.00
_cell_angle_gamma 90.00
_space_group_name_H-M_alt 'P 4/m m m'
_space_group_IT_number 123
_space_group_name_Hall '-P 4 2'
loop_
_atom_site_label
_atom_site_fract_x
_atom_site_fract_y
_atom_site_fract_z
Zr1 0.000 0.000 0.102
Zr2 0.000 0.000 0.366
In1 0.500 0.500 0.235
In2 0.500 0.500 0.500
Mo1 0.500 0.500 0.000
```

Most intense lines, 5° ≤ 2θ ≤ 70°, in order of rising 2θ:
2theta  d (Å)  intensity
31.87  2.808  7
35.58  2.523  100
37.72  2.385  48
47.82  1.902  7
54.41  1.686  16
57.36  1.606  6
62.46  1.487  12
66.72  1.402  30

***

# 4
Simulated PXRD pattern of NaCdSn2Cl6 for Cu Kα (λ = 1.5418 Å), from a cell relaxed with PBE.

Structural model:
```
data_NaCdSn2Cl6
_cell_length_a 7.290
_cell_length_b 7.472
_cell_length_c 7.517
_cell_angle_alpha 92.23
_cell_angle_beta 116.80
_cell_angle_gamma 119.16
_space_group_name_H-M_alt 'P 1'
_space_group_IT_number 1
loop_
_space_group_symop_operation_xyz
'x,y,z'
loop_
_atom_site_label
_atom_site_fract_x
_atom_site_fract_y
_atom_site_fract_z
Na1 0.000 0.000 0.000
Cd1 0.740 0.127 0.361
Sn1 0.344 0.059 0.684
Sn2 0.434 0.636 0.283
Cl1 0.137 0.255 0.748
Cl2 0.164 0.797 0.860
Cl3 0.504 0.309 0.347
Cl4 0.511 0.744 0.649
Cl5 0.931 0.310 0.140
Cl6 0.936 0.816 0.310
```

Most intense lines, 5° ≤ 2θ ≤ 70°, in order of rising 2θ:
2theta  d (Å)  intensity
13.99  6.330  57
17.09  5.189  46
22.93  3.878  40
23.77  3.743  100
24.44  3.642  47
26.96  3.307  59
28.66  3.115  48
37.83  2.378  49